Calculated powder diffraction line list of Ba2NaH6Pt for CuKα, from a cell relaxed with PBE.
Intensities are scaled so that the largest is 100.

Principal peaks in the range 2θ from 10° to 90°, in order of rising 2θ:
| d (Å) | Rel. int. | hkl |
| --- | --- | --- |
| 5.687 | 53 | 0 0 1 |
| 3.771 | 100 | 0 1 1 |
| 2.908 | 99 | 1 1 0 |
| 2.589 | 43 | 1 1 1 |
| 2.476 | 67 | 0 1 2 |
| 2.303 | 28 | 2 0 1 |
| 1.885 | 31 | 2 0 2 |
| 1.582 | 34 | 1 2 2 |

Cell and atoms:
Unit cell a=5.8169 b=5.8169 c=5.6870 alpha=90.00 beta=90.00 gamma=120.00
Space group P-3m1 (No. 164)
One atom of each set of equivalent atoms:
Ba 0.3333 0.6667 0.1911 (multiplicity 2)
Na 0.0000 0.0000 0.5000 (multiplicity 1)
H 0.1451 0.2902 0.8245 (multiplicity 6)
Pt 0.0000 0.0000 0.0000 (multiplicity 1)

---

Calculated powder diffraction line list of Er2ZnNi4P3 for CuKα, from a cell relaxed with PBE.
Intensities are scaled so that the largest is 100.

Principal peaks in the range 2θ from 10° to 90°, in order of rising 2θ:
| d (Å) | Rel. int. | hkl |
| --- | --- | --- |
| 3.581 | 29 | 1 0 1 |
| 2.469 | 59 | 1 0 3 |
| 2.374 | 100 | 1 1 2 |
| 1.928 | 43 | 2 0 0 |
| 1.725 | 27 | 1 0 5 |
| 1.520 | 26 | 2 1 3 |
| 1.286 | 20 | 2 1 5 |
| 1.182 | 21 | 3 1 2 |

Cell and atoms:
Unit cell a=3.8570 b=3.8570 c=9.6403 alpha=90.00 beta=90.00 gamma=90.00
Space group P-4m2 (No. 115)
One atom of each set of equivalent atoms:
Er 0.0000 0.5000 0.2428 (multiplicity 2)
Zn 0.0000 0.0000 0.5000 (multiplicity 1)
Ni 0.0000 0.0000 0.0000 (multiplicity 1)
Ni 0.0000 0.5000 0.6398 (multiplicity 2)
Ni 0.5000 0.5000 0.0000 (multiplicity 1)
P 0.0000 0.5000 0.8677 (multiplicity 2)
P 0.5000 0.5000 0.5000 (multiplicity 1)

---

Calculated powder diffraction line list of Pr8TlIn2 for CuKα, from a cell relaxed with PBE.
Intensities are scaled so that the largest is 100.

Principal peaks in the range 2θ from 10° to 90°, in order of rising 2θ:
| d (Å) | Rel. int. | hkl |
| --- | --- | --- |
| 2.908 | 100 | 1 1 2 |
| 2.692 | 19 | 4 0 -3 |
| 2.551 | 18 | 0 2 0 |
| 2.348 | 14 | 6 0 1 |
| 1.852 | 13 | 4 2 -3 |
| 1.728 | 11 | 6 2 1 |
| 1.593 | 13 | 3 1 -5 |
| 1.533 | 15 | 1 3 2 |

Cell and atoms:
Unit cell a=17.7330 b=5.1014 c=8.4097 alpha=90.00 beta=111.18 gamma=90.00
Space group C2/m (No. 12)
One atom of each set of equivalent atoms:
Pr 0.0570 0.0000 0.2285 (multiplicity 4)
Pr 0.0969 0.5000 0.9501 (multiplicity 4)
Pr 0.1416 0.0000 0.7050 (multiplicity 4)
Pr 0.1794 0.5000 0.4388 (multiplicity 4)
Tl 0.0000 0.5000 0.5000 (multiplicity 2)
In 0.2252 0.0000 0.1457 (multiplicity 4)

---

Calculated powder diffraction line list of La4PBrCl2 for CuKα, from a cell relaxed with PBE.
Intensities are scaled so that the largest is 100.

Principal peaks in the range 2θ from 10° to 90°, in order of rising 2θ:
| d (Å) | Rel. int. | hkl |
| --- | --- | --- |
| 3.542 | 12 | 0 0 2 |
| 3.453 | 23 | 1 1 -1 |
| 3.366 | 11 | 2 0 0 |
| 2.990 | 100 | 1 1 1 |
| 2.155 | 24 | 1 1 -3 |
| 2.115 | 24 | 0 2 0 |
| 2.074 | 24 | 3 1 -1 |
| 1.726 | 13 | 2 2 -2 |

Cell and atoms:
Unit cell a=7.1391 b=4.2311 c=7.5161 alpha=90.00 beta=109.46 gamma=90.00
Space group P2/m (No. 10)
One atom of each set of equivalent atoms:
La 0.2415 0.0000 0.2267 (multiplicity 2)
La 0.2556 0.5000 0.7736 (multiplicity 2)
P 0.0000 0.5000 0.0000 (multiplicity 1)
Br 0.0000 0.0000 0.5000 (multiplicity 1)
Cl 0.5000 0.0000 0.0000 (multiplicity 1)
Cl 0.5000 0.5000 0.5000 (multiplicity 1)

---

Calculated powder diffraction line list of Fe4RhN for CuKα, from a cell relaxed with PBE.
Intensities are scaled so that the largest is 100.

Principal peaks in the range 2θ from 10° to 90°, in order of rising 2θ:
| d (Å) | Rel. int. | hkl |
| --- | --- | --- |
| 3.274 | 47 | 0 1 1 |
| 2.945 | 75 | 1 1 1 |
| 2.348 | 42 | 2 1 1 |
| 2.133 | 100 | 1 1 2 |
| 2.097 | 53 | 2 0 2 |
| 1.976 | 74 | 3 1 0 |
| 1.591 | 46 | 1 2 2 |
| 1.174 | 41 | 4 2 2 |

Cell and atoms:
Unit cell a=6.7397 b=4.1361 c=5.3570 alpha=90.00 beta=90.00 gamma=90.00
Space group Pnc2 (No. 30)
One atom of each set of equivalent atoms:
Fe 0.1237 0.2473 0.0000 (multiplicity 4)
Fe 0.2299 0.7283 0.7505 (multiplicity 4)
Rh 0.5000 0.0000 0.5068 (multiplicity 2)
N 0.0000 0.0000 0.7488 (multiplicity 2)

---

Calculated powder diffraction line list of DyHo3Zn8 for CuKα, from a cell relaxed with PBE.
Intensities are scaled so that the largest is 100.

Principal peaks in the range 2θ from 10° to 90°, in order of rising 2θ:
| d (Å) | Rel. int. | hkl |
| --- | --- | --- |
| 2.761 | 58 | 1 1 0 |
| 2.470 | 80 | 1 0 3 |
| 2.327 | 100 | 1 1 2 |
| 2.305 | 55 | 0 2 1 |
| 1.532 | 35 | 2 1 3 |
| 1.496 | 25 | 3 0 2 |
| 1.402 | 28 | 2 0 5 |
| 1.381 | 26 | 2 2 0 |

Cell and atoms:
Unit cell a=5.5221 b=5.5221 c=8.6513 alpha=90.00 beta=90.00 gamma=120.00
Space group P3m1 (No. 156)
One atom of each set of equivalent atoms:
Dy 0.0000 0.0000 0.0000 (multiplicity 1)
Ho 0.0000 0.0000 0.3827 (multiplicity 1)
Ho 0.6667 0.3333 0.5004 (multiplicity 1)
Ho 0.6667 0.3333 0.8832 (multiplicity 1)
Zn 0.1645 0.3291 0.6911 (multiplicity 3)
Zn 0.3333 0.6667 0.4416 (multiplicity 1)
Zn 0.3333 0.6667 0.9416 (multiplicity 1)
Zn 0.5022 0.0043 0.1918 (multiplicity 3)

---

Calculated powder diffraction line list of Ho2ErMg for CuKα, from a cell relaxed with PBE.
Intensities are scaled so that the largest is 100.

Principal peaks in the range 2θ from 10° to 90°, in order of rising 2θ:
| d (Å) | Rel. int. | hkl |
| --- | --- | --- |
| 3.310 | 15 | 1 0 1 |
| 2.814 | 100 | 1 0 2 |
| 2.506 | 37 | 1 1 0 |
| 2.315 | 14 | 0 0 4 |
| 1.772 | 13 | 2 0 0 |
| 1.701 | 22 | 1 1 4 |
| 1.500 | 30 | 2 1 2 |
| 1.407 | 12 | 2 0 4 |

Cell and atoms:
Unit cell a=3.5440 b=3.5440 c=9.2617 alpha=90.00 beta=90.00 gamma=90.00
Space group P4/mmm (No. 123)
One atom of each set of equivalent atoms:
Ho 0.0000 0.0000 0.2384 (multiplicity 2)
Er 0.5000 0.5000 0.5000 (multiplicity 1)
Mg 0.5000 0.5000 0.0000 (multiplicity 1)

---

Calculated powder diffraction line list of Sm3Al4Cu for CuKα, from a cell relaxed with PBE.
Intensities are scaled so that the largest is 100.

Principal peaks in the range 2θ from 10° to 90°, in order of rising 2θ:
| d (Å) | Rel. int. | hkl |
| --- | --- | --- |
| 4.096 | 74 | 1 0 1 |
| 4.042 | 79 | 0 2 1 |
| 3.286 | 100 | 1 2 1 |
| 2.821 | 72 | 2 0 0 |
| 2.752 | 68 | 0 4 0 |
| 2.634 | 49 | 1 0 2 |
| 2.313 | 93 | 2 2 1 |
| 2.284 | 61 | 1 4 1 |

Cell and atoms:
Unit cell a=5.6418 b=11.0068 c=5.9571 alpha=90.00 beta=90.00 gamma=90.00
Space group Pmmn (No. 59, origin choice 2)
One atom of each set of equivalent atoms:
Sm 0.2500 0.0049 0.1770 (multiplicity 4)
Sm 0.2500 0.7500 0.5577 (multiplicity 2)
Al 0.0070 0.7500 0.0376 (multiplicity 4)
Al 0.2500 0.1116 0.6634 (multiplicity 4)
Cu 0.2500 0.2500 0.3217 (multiplicity 2)